(1)
Starting from a crystal structure in Alexandria, relaxed with GGA-PBE, the PXRD pattern of Sm13Zn2 was simulated for Cu Kα X-rays.
Lines closer than 0.1° are merged.

Most intense lines, 10 to 90 degrees two-theta, low angle first:
2θ 28.50, rel. 11
2θ 30.96, rel. 44
2θ 31.27, rel. 44
2θ 31.50, rel. 100
2θ 31.91, rel. 14
2θ 33.25, rel. 87
2θ 41.84, rel. 14
2θ 47.53, rel. 13
2θ 47.93, rel. 15
2θ 58.33, rel. 22

Structural model:
Unit cell a=6.4581 b=8.5016 c=9.4110 alpha=68.79 beta=78.25 gamma=82.05
Positions (direct):
Sm (0.0000, 0.0000, 0.0000)
Sm (0.0447, 0.4221, 0.6978)
Sm (0.2088, 0.1752, 0.2387)
Sm (0.2513, 0.5951, 0.9445)
Sm (0.2783, 0.9895, 0.6447)
Sm (0.4680, 0.3673, 0.4182)
Sm (0.4705, 0.7931, 0.1620)
Sm (0.5295, 0.2069, 0.8380)
Sm (0.5320, 0.6327, 0.5818)
Sm (0.7217, 0.0105, 0.3553)
Sm (0.7487, 0.4049, 0.0555)
Sm (0.7912, 0.8248, 0.7613)
Sm (0.9553, 0.5779, 0.3022)
Zn (0.1207, 0.7930, 0.4568)
Zn (0.8793, 0.2070, 0.5432)

=====

(2)
Starting from a crystal structure in Alexandria, relaxed with GGA-PBE, the PXRD pattern of SmZn was simulated for Cu Kα X-rays.
Lines closer than 0.1° are merged.

Most intense lines, 10 to 90 degrees two-theta, low angle first:
2θ 24.44, rel. 15
2θ 34.84, rel. 100
2θ 43.01, rel. 5
2θ 50.09, rel. 18
2θ 56.50, rel. 7
2θ 62.46, rel. 36
2θ 73.55, rel. 11
2θ 78.84, rel. 3
2θ 84.03, rel. 15
2θ 89.18, rel. 2

Structural model:
Unit cell a=3.6422 b=3.6422 c=3.6422 alpha=90.00 beta=90.00 gamma=90.00
Positions (direct):
Sm (0.0000, 0.0000, 0.0000)
Zn (0.5000, 0.5000, 0.5000)

=====

(3)
Starting from a crystal structure in Alexandria, relaxed with GGA-PBE, the PXRD pattern of Sm5Zn6 was simulated for Cu Kα X-rays.
Lines closer than 0.1° are merged.

Most intense lines, 10 to 90 degrees two-theta, low angle first:
2θ 24.84, rel. 9
2θ 35.23, rel. 100
2θ 35.41, rel. 49
2θ 50.39, rel. 9
2θ 50.95, rel. 17
2θ 63.09, rel. 17
2θ 63.46, rel. 33
2θ 74.48, rel. 10
2θ 84.72, rel. 7
2θ 85.63, rel. 10

Structural model:
Unit cell a=8.7941 b=8.7941 c=8.7941 alpha=146.49 beta=131.36 gamma=60.36
Positions (direct):
Sm (0.0000, 0.0000, 0.0000)
Sm (0.1711, 0.6711, 0.5000)
Sm (0.3455, 0.3455, 0.0000)
Sm (0.6545, 0.6545, 0.0000)
Sm (0.8289, 0.3289, 0.5000)
Zn (0.0935, 0.8373, 0.2561)
Zn (0.2334, 0.5000, 0.7334)
Zn (0.4188, 0.1627, 0.2561)
Zn (0.5812, 0.8373, 0.7439)
Zn (0.7666, 0.5000, 0.2666)
Zn (0.9065, 0.1627, 0.7439)

=====

(4)
Starting from a crystal structure in Alexandria, relaxed with GGA-PBE, the PXRD pattern of Sm3Zn8 was simulated for Cu Kα X-rays.
Lines closer than 0.1° are merged.

Most intense lines, 10 to 90 degrees two-theta, low angle first:
2θ 31.81, rel. 17
2θ 33.27, rel. 53
2θ 33.92, rel. 100
2θ 36.46, rel. 16
2θ 40.93, rel. 32
2θ 42.46, rel. 37
2θ 47.91, rel. 20
2θ 53.73, rel. 27
2θ 64.80, rel. 16
2θ 65.92, rel. 20

Structural model:
Unit cell a=13.6839 b=13.6839 c=13.6839 alpha=164.05 beta=161.45 gamma=24.55
Positions (direct):
Sm (0.0000, 0.0000, 0.0000)
Sm (0.3530, 0.8530, 0.5000)
Sm (0.6470, 0.1470, 0.5000)
Zn (0.0957, 0.5957, 0.5000)
Zn (0.1904, 0.6904, 0.5000)
Zn (0.2552, 0.2552, 0.0000)
Zn (0.4516, 0.4516, 0.0000)
Zn (0.5484, 0.5484, 0.0000)
Zn (0.7448, 0.7448, 0.0000)
Zn (0.8096, 0.3096, 0.5000)
Zn (0.9043, 0.4043, 0.5000)